Structure and calculated PXRD pattern of V3Si2O8 (a cell relaxed with GGA+U; Cu Kα X-rays).

Cell and atoms:
```
data_V3Si2O8
_cell_length_a 6.085
_cell_length_b 11.205
_cell_length_c 8.143
_cell_angle_alpha 90.00
_cell_angle_beta 90.00
_cell_angle_gamma 90.00
_space_group_name_H-M_alt 'C m c e'
_space_group_IT_number 64
_space_group_name_Hall '-C 2ac 2'
loop_
_atom_site_label
_atom_site_type_symbol
_atom_site_fract_x
_atom_site_fract_y
_atom_site_fract_z
V1 V 0.000 0.000 0.000
V2 V 0.250 0.135 0.250
Si1 Si 0.000 0.123 0.611
O1 O 0.000 0.004 0.741
O2 O 0.000 0.246 0.723
O3 O 0.224 0.121 0.497
```

Main lines, sorted by position (2θ = 10–80°):
| Position (°2θ) | I/Imax | index |
| --- | --- | --- |
| 19.23 | 45 | 0 2 1 |
| 27.07 | 23 | 0 2 2 |
| 27.54 | 26 | 1 1 2 |
| 30.14 | 59 | 1 3 1 |
| 35.33 | 100 | 2 2 1 |
| 36.80 | 48 | 0 2 3 |
| 43.94 | 59 | 2 4 0 |
| 44.50 | 49 | 0 0 4 |
| 59.12 | 23 | 2 6 1 |
| 64.32 | 69 | 2 4 4 |